(1)
Th3HgOs: simulated powder XRD pattern (copper Kα), based on a crystal structure in Alexandria, relaxed with GGA-PBE.
Kinematic intensities with the Lorentz-polarization factor, no thermal factor.

Top 8 peaks for 10 to 90 degrees two-theta, by angle:
| 2θ (°) | I_rel | index |
| --- | --- | --- |
| 24.76 | 29.5 | 1 1 2 |
| 30.44 | 38.7 | 1 0 5 |
| 31.09 | 100.0 | 2 1 1 |
| 31.51 | 68.1 | 1 1 4 |
| 32.60 | 62.3 | 2 1 2 |
| 33.62 | 65.5 | 0 1 5 |
| 37.39 | 70.0 | 0 2 0 |
| 64.48 | 28.5 | 3 2 6 |

Unit cell a=7.366 b=4.810 c=16.008 alpha=90.00 beta=90.00 gamma=90.00
Space group Pnma (No. 62)
Unique sites:
Th 0.006 0.250 0.096
Th 0.137 0.750 0.449
Th 0.210 0.250 0.722
Hg 0.073 0.250 0.311
Os 0.235 0.750 0.046

(2)
CdSiTe2O8: simulated powder XRD pattern (copper Kα), based on a crystal structure in Alexandria, relaxed with GGA-PBE.
Kinematic intensities with the Lorentz-polarization factor, no thermal factor.

Top 8 peaks for 10 to 90 degrees two-theta, by angle:
| 2θ (°) | I_rel | index |
| --- | --- | --- |
| 18.84 | 21.7 | 1 1 0 |
| 28.20 | 100.0 | 1 1 1 |
| 29.01 | 21.9 | 2 0 1 |
| 30.76 | 84.7 | 3 1 -1 |
| 33.95 | 37.4 | 0 2 0 |
| 34.18 | 27.8 | 2 0 -2 |
| 48.95 | 22.0 | 2 2 -2 |
| 49.15 | 24.9 | 4 2 0 |

Unit cell a=11.142 b=5.280 c=5.288 alpha=90.00 beta=110.87 gamma=90.00
Space group C2/m (No. 12)
Unique sites:
Cd 0.000 0.000 0.000
Si 0.000 0.500 0.500
Te 0.227 0.000 0.703
O 0.082 0.500 0.273
O 0.100 0.254 0.735
O 0.186 0.000 0.328

(3)
Ca2PmPO8: simulated powder XRD pattern (copper Kα), based on a crystal structure in Alexandria, relaxed with GGA-PBE.
Kinematic intensities with the Lorentz-polarization factor, no thermal factor.

Top 8 peaks for 10 to 90 degrees two-theta, by angle:
| 2θ (°) | I_rel | index |
| --- | --- | --- |
| 19.77 | 100.0 | 1 0 0 |
| 24.32 | 76.9 | 0 1 1 |
| 34.60 | 78.2 | 1 1 0 |
| 34.72 | 51.9 | 1 0 2 |
| 42.74 | 47.8 | 2 0 1 |
| 45.25 | 52.0 | 1 1 2 |
| 49.83 | 37.9 | 0 2 2 |
| 62.05 | 35.6 | 3 0 0 |

Unit cell a=5.1852 b=5.1852 c=6.3174 alpha=90.00 beta=90.00 gamma=120.00
Space group P-3m1 (No. 164)
Unique sites:
Ca 0.3333 0.6667 0.3802
Pm 0.0000 0.0000 0.0000
P 0.0000 0.0000 0.5000
O 0.1517 0.3034 0.6594
O 0.3333 0.6667 0.0264

(4)
Ca3PmPb2O: simulated powder XRD pattern (copper Kα), based on a crystal structure in Alexandria, relaxed with GGA-PBE.
Kinematic intensities with the Lorentz-polarization factor, no thermal factor.

Top 8 peaks for 10 to 90 degrees two-theta, by angle:
| 2θ (°) | I_rel | index |
| --- | --- | --- |
| 18.89 | 54.0 | 0 1 1 |
| 24.61 | 44.6 | 1 0 3 |
| 26.26 | 27.3 | 1 1 0 |
| 28.33 | 34.3 | 1 1 2 |
| 33.86 | 100.0 | 1 1 4 |
| 36.75 | 27.1 | 0 2 0 |
| 38.18 | 24.4 | 2 0 0 |
| 61.21 | 19.7 | 1 1 10 |

Unit cell a=4.714 b=4.891 c=16.917 alpha=90.00 beta=90.00 gamma=90.00
Space group Immm (No. 71)
Unique sites:
Ca 0.000 0.000 0.000
Ca 0.000 0.500 0.331
Pm 0.000 0.000 0.500
Pb 0.000 0.500 0.137
O 0.000 0.500 0.500

(5)
Ti6Nb2Al2Zn: simulated powder XRD pattern (copper Kα), based on a crystal structure in Alexandria, relaxed with GGA-PBE.
Kinematic intensities with the Lorentz-polarization factor, no thermal factor.

Top 8 peaks for 10 to 90 degrees two-theta, by angle:
| 2θ (°) | I_rel | index |
| --- | --- | --- |
| 15.16 | 44.1 | 0 0 3 |
| 18.19 | 88.3 | 0 1 2 |
| 26.30 | 100.0 | 1 1 0 |
| 39.11 | 77.7 | 1 0 7 |
| 40.07 | 68.4 | 2 0 5 |
| 41.00 | 53.9 | 2 1 1 |
| 42.01 | 51.7 | 1 2 2 |
| 54.12 | 30.5 | 2 2 0 |

Unit cell a=6.7782 b=6.7782 c=17.5281 alpha=90.00 beta=90.00 gamma=120.00
Space group R-3m (No. 166, hexagonal axes)
Unique sites:
Ti 0.0797 0.5398 0.2941
Nb 0.0000 0.0000 0.0760
Al 0.0000 0.0000 0.2379
Zn 0.0000 0.0000 0.5000

(6)
AcCe2Ga2: simulated powder XRD pattern (copper Kα), based on a crystal structure in Alexandria, relaxed with GGA-PBE.
Kinematic intensities with the Lorentz-polarization factor, no thermal factor.

Top 8 peaks for 10 to 90 degrees two-theta, by angle:
| 2θ (°) | I_rel | index |
| --- | --- | --- |
| 26.03 | 11.7 | 0 1 5 |
| 27.03 | 11.7 | 0 0 8 |
| 30.94 | 18.2 | 0 1 7 |
| 31.22 | 100.0 | 1 1 4 |
| 34.81 | 11.5 | 1 1 6 |
| 36.59 | 15.0 | 1 0 9 |
| 40.10 | 39.1 | 2 0 0 |
| 58.01 | 13.3 | 2 2 0 |

Unit cell a=4.492 b=4.502 c=26.393 alpha=90.00 beta=90.00 gamma=90.00
Space group Imma (No. 74)
Unique sites:
Ac 0.000 0.250 0.177
Ce 0.000 0.250 0.454
Ce 0.000 0.250 0.950
Ga 0.000 0.250 0.629
Ga 0.000 0.250 0.726

(7)
La2Tb3Sn2: simulated powder XRD pattern (copper Kα), based on a crystal structure in Alexandria, relaxed with GGA-PBE.
Kinematic intensities with the Lorentz-polarization factor, no thermal factor.

Top 8 peaks for 10 to 90 degrees two-theta, by angle:
| 2θ (°) | I_rel | index |
| --- | --- | --- |
| 27.37 | 28.7 | 1 1 -1 |
| 29.60 | 34.8 | 1 1 1 |
| 30.81 | 86.4 | 4 0 1 |
| 32.79 | 34.9 | 2 0 -3 |
| 32.95 | 36.6 | 6 0 -2 |
| 33.64 | 100.0 | 1 1 -2 |
| 36.74 | 77.6 | 5 1 -1 |
| 55.47 | 30.0 | 7 1 -4 |

Unit cell a=16.895 b=3.547 c=8.259 alpha=90.00 beta=116.04 gamma=90.00
Space group C2/m (No. 12)
Unique sites:
La 0.117 0.000 0.475
Tb 0.000 0.000 0.000
Tb 0.212 0.000 0.137
Sn 0.081 0.500 0.782

(8)
K2Tl6CdBi: simulated powder XRD pattern (copper Kα), based on a crystal structure in Alexandria, relaxed with GGA-PBE.
Kinematic intensities with the Lorentz-polarization factor, no thermal factor.

Top 8 peaks for 10 to 90 degrees two-theta, by angle:
| 2θ (°) | I_rel | index |
| --- | --- | --- |
| 12.59 | 47.2 | 0 0 6 |
| 13.02 | 45.8 | 1 0 1 |
| 16.61 | 85.7 | 0 1 5 |
| 27.98 | 48.3 | 2 0 5 |
| 29.88 | 100.0 | 0 2 7 |
| 34.71 | 85.5 | 1 2 2 |
| 35.01 | 57.8 | 2 0 11 |
| 43.90 | 45.4 | 0 3 9 |

Unit cell a=7.9548 b=7.9548 c=42.1887 alpha=90.00 beta=90.00 gamma=120.00
Space group R-3m (No. 166, hexagonal axes)
Unique sites:
K 0.0000 0.0000 0.1004
K 0.0000 0.0000 0.2775
Tl 0.0586 0.5293 0.8645
Tl 0.0646 0.5323 0.3078
Cd 0.0000 0.0000 0.0000
Cd 0.0000 0.0000 0.5000
Bi 0.0000 0.0000 0.4238

(9)
Ti4ReMo2: simulated powder XRD pattern (copper Kα), based on a crystal structure in Alexandria, relaxed with GGA-PBE.
Kinematic intensities with the Lorentz-polarization factor, no thermal factor.

Top 8 peaks for 10 to 90 degrees two-theta, by angle:
| 2θ (°) | I_rel | index |
| --- | --- | --- |
| 14.58 | 88.2 | 0 0 1 |
| 34.18 | 28.3 | 1 1 0 |
| 35.79 | 42.3 | 1 1 -1 |
| 39.14 | 59.1 | 4 0 1 |
| 39.26 | 100.0 | 6 0 -2 |
| 43.07 | 30.8 | 1 1 -2 |
| 46.94 | 33.7 | 5 1 -1 |
| 83.33 | 34.0 | 6 2 -2 |

Unit cell a=14.033 b=2.687 c=7.006 alpha=90.00 beta=119.81 gamma=90.00
Space group C2/m (No. 12)
Unique sites:
Ti 0.072 0.000 0.217
Ti 0.142 0.500 0.926
Re 0.000 0.000 0.500
Mo 0.217 0.000 0.650

(10)
Er6Au5: simulated powder XRD pattern (copper Kα), based on a crystal structure in Alexandria, relaxed with GGA-PBE.
Kinematic intensities with the Lorentz-polarization factor, no thermal factor.

Top 8 peaks for 10 to 90 degrees two-theta, by angle:
| 2θ (°) | I_rel | index |
| --- | --- | --- |
| 35.65 | 24.7 | 0 0 6 |
| 35.77 | 100.0 | 1 2 3 |
| 35.92 | 24.9 | 2 0 0 |
| 51.50 | 26.5 | 0 4 0 |
| 64.14 | 26.7 | 0 4 6 |
| 64.47 | 18.3 | 3 2 3 |
| 75.80 | 11.3 | 2 4 6 |
| 86.75 | 16.5 | 1 6 3 |

Unit cell a=5.000 b=7.103 c=15.109 alpha=90.00 beta=90.00 gamma=90.00
Space group Immm (No. 71)
Unique sites:
Er 0.000 0.249 0.000
Er 0.000 0.250 0.335
Au 0.000 0.000 0.171
Au 0.000 0.500 0.158
Au 0.000 0.500 0.500